No. 1
Structure and theoretical powder diffraction line list of Li2Tb2ErPb2 (a cell relaxed with PBE; a wavelength of 1.5418 Å).
Neutral-atom scattering factors, no anomalous dispersion.

Largest 10 diffraction maxima, by angle, 2θ from 10° to 80°:
| index | d_spacing | 2theta | I_rel |
| --- | --- | --- | --- |
| 1 0 1 | 4.130 | 21.5 | 56.1 |
| 0 1 2 | 3.990 | 22.3 | 26.7 |
| 1 0 7 | 2.821 | 31.7 | 87.3 |
| 0 1 8 | 2.612 | 34.3 | 91.2 |
| 1 1 0 | 2.413 | 37.3 | 100.0 |
| 0 2 7 | 1.834 | 49.7 | 25.2 |
| 2 0 8 | 1.773 | 51.6 | 29.2 |
| 2 1 7 | 1.460 | 63.7 | 24.1 |
| 1 1 15 | 1.435 | 65.0 | 36.9 |
| 1 2 8 | 1.429 | 65.3 | 28.9 |

```
data_Li2Tb2ErPb2
_space_group_name_H-M_alt 'R -3 m'
_space_group_IT_number 166
_space_group_name_Hall '-R 3 2"'
_cell_length_a 4.8269
_cell_length_b 4.8269
_cell_length_c 26.7652
_cell_angle_alpha 90.00
_cell_angle_beta 90.00
_cell_angle_gamma 120.00
loop_
_atom_site_label
_atom_site_fract_x
_atom_site_fract_y
_atom_site_fract_z
Li1 0.0000 0.0000 0.1002
Tb1 0.0000 0.0000 0.3717
Er1 0.0000 0.0000 0.5000
Pb1 0.0000 0.0000 0.2345
```

No. 2
Structure and theoretical powder diffraction line list of Y3Mg3C (a cell relaxed with PBE; a wavelength of 1.5418 Å).
Neutral-atom scattering factors, no anomalous dispersion.

Largest 10 diffraction maxima, by angle, 2θ from 10° to 80°:
| index | d_spacing | 2theta | I_rel |
| --- | --- | --- | --- |
| 1 1 1 | 7.953 | 11.1 | 32.5 |
| 4 0 0 | 3.444 | 25.9 | 19.2 |
| 3 3 1 | 3.160 | 28.2 | 33.4 |
| 4 2 2 | 2.812 | 31.8 | 62.3 |
| 3 3 3 | 2.651 | 33.8 | 100.0 |
| 4 4 0 | 2.435 | 36.9 | 16.9 |
| 5 5 1 | 1.929 | 47.1 | 18.0 |
| 7 3 3 | 1.683 | 54.5 | 12.3 |
| 6 6 0 | 1.623 | 56.7 | 55.2 |
| 9 3 3 | 1.384 | 67.7 | 19.3 |

abc: 13.774 13.774 13.774
angles: 90.00 90.00 90.00
Space group Fd-3m (No. 227, origin choice 2)
Asymmetric unit:
Y  0.060  0.375  0.375
Mg  0.000  0.000  0.500
Mg  0.045  0.045  0.705
C  0.000  0.000  0.000